(1)
Structure and theoretical powder X-ray diffraction pattern of LiPuNb4N8 (a cell relaxed with GGA-PBE; copper Kα).

Crystal structure
```
data_LiPuNb4N8
_chemical_formula_sum 'Li1 Pu1 Nb4 N8'
_space_group_name_H-M_alt 'P 1'
_space_group_IT_number 1
_cell_length_a 6.2891
_cell_length_b 6.2891
_cell_length_c 6.2891
_cell_angle_alpha 61.15
_cell_angle_beta 61.15
_cell_angle_gamma 61.15
loop_
_space_group_symop_operation_xyz
'x,y,z'
loop_
_atom_site_label
_atom_site_fract_x
_atom_site_fract_y
_atom_site_fract_z
Li1 0.0000 0.0000 0.0000
Pu1 0.3935 0.3935 0.3935
Nb1 0.0052 0.0052 0.4877
Nb2 0.0052 0.4877 0.0052
Nb3 0.4877 0.0052 0.0052
Nb4 0.6244 0.6244 0.6244
N1 0.2365 0.2365 0.8070
N2 0.2365 0.8070 0.2365
N3 0.2450 0.2450 0.2450
N4 0.2490 0.7348 0.7348
N5 0.7348 0.2490 0.7348
N6 0.7348 0.7348 0.2490
N7 0.7597 0.7597 0.7597
N8 0.8070 0.2365 0.2365
```

The 6 most intense peaks (2θ from 15° to 90°), by angle:
d 5.208, intensity 48
d 3.144, intensity 87
d 2.726, intensity 100
d 2.708, intensity 64
d 2.675, intensity 51
d 1.836, intensity 36

(2)
Structure and theoretical powder X-ray diffraction pattern of B2C3 (a cell relaxed with GGA-PBE; copper Kα).

Crystal structure
```
data_B2C3
_chemical_formula_sum 'B4 C6'
_space_group_name_H-M_alt 'P 1'
_space_group_IT_number 1
_cell_length_a 10.5327
_cell_length_b 10.5327
_cell_length_c 10.5327
_cell_angle_alpha 166.61
_cell_angle_beta 166.16
_cell_angle_gamma 19.30
loop_
_space_group_symop_operation_xyz
'x,y,z'
loop_
_atom_site_label
_atom_site_fract_x
_atom_site_fract_y
_atom_site_fract_z
B1 0.0000 0.0000 0.0000
B2 0.1904 0.1904 0.0000
B3 0.7912 0.7912 0.0000
B4 0.9350 0.4350 0.5000
C1 0.1361 0.6361 0.5000
C2 0.3436 0.8436 0.5000
C3 0.3840 0.3840 0.0000
C4 0.5503 0.0503 0.5000
C5 0.5936 0.5936 0.0000
C6 0.7383 0.2383 0.5000
```

The 6 most intense peaks (2θ from 15° to 90°), by angle:
d 5.192, intensity 28
d 2.166, intensity 100
d 2.114, intensity 94
d 1.345, intensity 53
d 1.269, intensity 12
d 1.228, intensity 11

(3)
Structure and theoretical powder X-ray diffraction pattern of Ba2LiHg7 (a cell relaxed with GGA-PBE; copper Kα).

Crystal structure
```
data_Ba2LiHg7
_chemical_formula_sum 'Ba2 Li1 Hg7'
_space_group_name_H-M_alt 'P 1'
_space_group_IT_number 1
_cell_length_a 4.7569
_cell_length_b 4.7569
_cell_length_c 13.0807
_cell_angle_alpha 90.00
_cell_angle_beta 90.00
_cell_angle_gamma 90.00
loop_
_space_group_symop_operation_xyz
'x,y,z'
loop_
_atom_site_label
_atom_site_fract_x
_atom_site_fract_y
_atom_site_fract_z
Ba1 0.0000 0.5000 0.2450
Ba2 0.5000 0.0000 0.7550
Li1 0.0000 0.0000 0.5000
Hg1 0.0000 0.0000 0.0000
Hg2 0.0000 0.5000 0.6297
Hg3 0.0000 0.5000 0.8557
Hg4 0.5000 0.0000 0.1443
Hg5 0.5000 0.0000 0.3703
Hg6 0.5000 0.5000 0.0000
Hg7 0.5000 0.5000 0.5000
```

The 6 most intense peaks (2θ from 15° to 90°), by angle:
d 4.470, intensity 41
d 3.214, intensity 62
d 2.991, intensity 100
d 2.378, intensity 77
d 2.345, intensity 66
d 2.292, intensity 49